Pr2Sm7Tm: theoretical powder diffraction line list (CuKα), based on DFT lattice parameters and positions (PBE).

```
data_Pr2Sm7Tm
_chemical_formula_sum 'Pr2 Sm7 Tm1'
_cell_length_a 6.2905
_cell_length_b 7.2580
_cell_length_c 8.1179
_cell_angle_alpha 77.11
_cell_angle_beta 75.04
_cell_angle_gamma 73.34
_symmetry_space_group_name_H-M 'P -1'
_symmetry_Int_Tables_number 2
_symmetry_space_group_name_Hall '-P 1'
loop_
_atom_site_label
_atom_site_fract_x
_atom_site_fract_y
_atom_site_fract_z
_atom_site_occupancy
Pr1 0.2008 0.2999 0.1020 1
Sm1 0.0000 0.0000 0.5000 1
Sm2 0.2002 0.7990 0.1011 1
Sm3 0.3968 0.1018 0.6976 1
Sm4 0.3999 0.6000 0.6977 1
Tm1 0.0000 0.5000 0.5000 1
```

The 6 most intense peaks (2θ from 10° to 90°), in order of rising 2θ:
hkl	d (Å)	2θ (°)	Rel. int.
2 0 1	2.965	30.14	100
2 2 0	2.568	34.94	51
1 4 1	1.816	50.25	36
0 4 3	1.549	59.69	22
4 2 1	1.548	59.76	22
2 6 3	1.178	81.78	12


KCo2SnCl8: theoretical powder diffraction line list (CuKα), based on DFT lattice parameters and positions (PBE).

```
data_KCo2SnCl8
_chemical_formula_sum 'K3 Co6 Sn3 Cl24'
_cell_length_a 6.5158
_cell_length_b 6.5158
_cell_length_c 28.4172
_cell_angle_alpha 90.00
_cell_angle_beta 90.00
_cell_angle_gamma 120.00
_symmetry_space_group_name_H-M 'R -3'
_symmetry_Int_Tables_number 148
_symmetry_space_group_name_Hall '-R 3'
loop_
_atom_site_label
_atom_site_fract_x
_atom_site_fract_y
_atom_site_fract_z
_atom_site_occupancy
K1 0.0000 0.0000 0.0000 1
Co1 0.0000 0.0000 0.2513 1
Sn1 0.0000 0.0000 0.5000 1
Cl1 0.0000 0.0000 0.3278 1
Cl2 0.0011 0.3522 0.4408 1
```

The 6 most intense peaks (2θ from 10° to 90°), in order of rising 2θ:
hkl	d (Å)	2θ (°)	Rel. int.
1 0 4	4.419	20.10	100
1 1 0	3.258	27.38	44
2 -1 3	3.081	28.98	37
1 1 6	2.684	33.38	42
2 -1 12	1.916	47.46	50
3 0 0	1.881	48.39	42


SnH8C2I3N: theoretical powder diffraction line list (CuKα), based on DFT lattice parameters and positions (PBE).

```
data_SnH8C2I3N
_chemical_formula_sum 'Sn4 H32 C8 I12 N4'
_cell_length_a 8.0554
_cell_length_b 8.9752
_cell_length_c 16.5814
_cell_angle_alpha 89.86
_cell_angle_beta 89.52
_cell_angle_gamma 89.89
_symmetry_space_group_name_H-M 'P 1'
_symmetry_Int_Tables_number 1
_symmetry_space_group_name_Hall 'P 1'
loop_
_atom_site_label
_atom_site_fract_x
_atom_site_fract_y
_atom_site_fract_z
_atom_site_occupancy
Sn1 0.0000 0.0000 0.0000 1
Sn2 0.0034 0.5356 0.5007 1
Sn3 0.5081 0.0030 0.9992 1
Sn4 0.5120 0.5327 0.4995 1
H1 0.0484 0.4071 0.9209 1
H2 0.0544 0.1310 0.4219 1
H3 0.0779 0.6106 0.8272 1
H4 0.0803 0.9258 0.3294 1
H5 0.1116 0.1003 0.2804 1
H6 0.1122 0.4355 0.7798 1
H7 0.2108 0.5132 0.9478 1
H8 0.2178 0.0246 0.4478 1
H9 0.2397 0.3465 0.9024 1
H10 0.2450 0.1907 0.4010 1
H11 0.3291 0.9186 0.2364 1
H12 0.3311 0.6160 0.7369 1
H13 0.3891 0.6463 0.8392 1
H14 0.3923 0.8904 0.3382 1
H15 0.4228 0.0665 0.2898 1
H16 0.4228 0.4692 0.7927 1
H17 0.4854 0.6376 0.1539 1
H18 0.4858 0.8945 0.6547 1
H19 0.5372 0.9638 0.7450 1
H20 0.5407 0.5763 0.2455 1
H21 0.6112 0.1359 0.6371 1
H22 0.6121 0.3936 0.1436 1
H23 0.6535 0.8283 0.7014 1
H24 0.6547 0.7080 0.1970 1
H25 0.7221 0.5337 0.0896 1
H26 0.7268 0.9909 0.5902 1
H27 0.8056 0.1280 0.7569 1
H28 0.8146 0.4178 0.2597 1
H29 0.9161 0.1625 0.6657 1
H30 0.9191 0.3728 0.1681 1
H31 0.9210 0.9820 0.7097 1
H32 0.9245 0.5583 0.2049 1
C1 0.1644 0.5163 0.8222 1
C2 0.1661 0.0200 0.3227 1
C3 0.3374 0.5646 0.7970 1
C4 0.3382 0.9712 0.2959 1
C5 0.6916 0.0394 0.6486 1
C6 0.6917 0.4920 0.1502 1
C7 0.8417 0.0795 0.6985 1
C8 0.8458 0.4591 0.1990 1
I1 0.2588 0.2216 0.0893 1
I2 0.2620 0.3136 0.5901 1
I3 0.2697 0.7315 0.0519 1
I4 0.2726 0.8037 0.5518 1
I5 0.2925 0.0584 0.8467 1
I6 0.2961 0.4785 0.3470 1
I7 0.7614 0.7789 0.9086 1
I8 0.7629 0.7564 0.4085 1
I9 0.7711 0.2604 0.9430 1
I10 0.7759 0.2754 0.4438 1
I11 0.7782 0.9715 0.1509 1
I12 0.7806 0.5645 0.6512 1
N1 0.1666 0.4419 0.9035 1
N2 0.1720 0.0955 0.4035 1
N3 0.5857 0.9249 0.6907 1
N4 0.5869 0.6104 0.1898 1
```

The 6 most intense peaks (2θ from 10° to 90°), in order of rising 2θ:
hkl	d (Å)	2θ (°)	Rel. int.
0 0 2	8.290	10.67	76
0 1 1	7.893	11.21	100
1 0 -4	3.673	24.23	29
1 -2 2	3.550	25.09	48
-1 2 2	3.538	25.17	47
-2 2 2	2.813	31.81	30


What did the first record say?
Pr2Sm7Tm: theoretical powder diffraction line list (CuKα), based on DFT lattice parameters and positions (PBE).

```
data_Pr2Sm7Tm
_chemical_formula_sum 'Pr2 Sm7 Tm1'
_cell_length_a 6.2905
_cell_length_b 7.2580
_cell_length_c 8.1179
_cell_angle_alpha 77.11
_cell_angle_beta 75.04
_cell_angle_gamma 73.34
_symmetry_space_group_name_H-M 'P -1'
_symmetry_Int_Tables_number 2
_symmetry_space_group_name_Hall '-P 1'
loop_
_atom_site_label
_atom_site_fract_x
_atom_site_fract_y
_atom_site_fract_z
_atom_site_occupancy
Pr1 0.2008 0.2999 0.1020 1
Sm1 0.0000 0.0000 0.5000 1
Sm2 0.2002 0.7990 0.1011 1
Sm3 0.3968 0.1018 0.6976 1
Sm4 0.3999 0.6000 0.6977 1
Tm1 0.0000 0.5000 0.5000 1
```

The 6 most intense peaks (2θ from 10° to 90°), in order of rising 2θ:
hkl	d (Å)	2θ (°)	Rel. int.
2 0 1	2.965	30.14	100
2 2 0	2.568	34.94	51
1 4 1	1.816	50.25	36
0 4 3	1.549	59.69	22
4 2 1	1.548	59.76	22
2 6 3	1.178	81.78	12


What is the formula in the first record? Pr2Sm7Tm